Starting from a DFT-relaxed cell (PBE, Alexandria), the XRD peak list of Te2RhF was calculated for Cu Kα, 1.54184 Å.
Intensities are scaled so that the largest is 100.

Main lines, sorted by position (2θ = 10–90°):
2θ (°)  Rel. int.
12.61  100
25.17  16
26.24  40
32.78  77
42.59  32
43.69  46
45.65  24
50.23  24
55.68  17
73.33  15

Atomic structure:
Lattice parameters (Å, degrees): 7.417 7.417 7.417 32.44 32.44 32.44
Fractional coordinates of all 4 atoms:
Te 0.110 0.110 0.110
Te 0.890 0.890 0.890
Rh 0.500 0.500 0.500
F 0.000 0.000 0.000


Starting from a DFT-relaxed cell (PBE, Alexandria), the XRD peak list of Ti2Rh2F was calculated for Cu Kα, 1.54184 Å.
Intensities are scaled so that the largest is 100.

Main lines, sorted by position (2θ = 10–90°):
2θ (°)  Rel. int.
17.80  39
28.32  19
34.22  12
40.49  33
40.97  100
51.91  13
55.32  9
55.70  11
74.96  10
79.61  17

Atomic structure:
Lattice parameters (Å, degrees): 7.046 7.046 3.081 90.00 90.00 90.00
Fractional coordinates of all 10 atoms:
Ti 0.165 0.335 0.000
Ti 0.335 0.835 0.000
Ti 0.665 0.165 0.000
Ti 0.835 0.665 0.000
Rh 0.135 0.635 0.500
Rh 0.365 0.135 0.500
Rh 0.635 0.865 0.500
Rh 0.865 0.365 0.500
F 0.000 0.000 0.000
F 0.500 0.500 0.000


Starting from a DFT-relaxed cell (PBE, Alexandria), the XRD peak list of TiRhF was calculated for Cu Kα, 1.54184 Å.
Intensities are scaled so that the largest is 100.

Main lines, sorted by position (2θ = 10–90°):
2θ (°)  Rel. int.
12.56  24
25.28  39
27.89  25
28.57  20
35.91  100
44.42  17
45.74  36
47.08  32
51.69  33
87.15  14

Atomic structure:
Lattice parameters (Å, degrees): 3.538 3.538 7.051 91.70 91.70 89.96
Fractional coordinates of all 6 atoms:
Ti 0.238 0.238 0.374
Ti 0.762 0.762 0.626
Rh 0.258 0.258 0.727
Rh 0.742 0.742 0.273
F 0.257 0.257 0.100
F 0.743 0.743 0.900


Starting from a DFT-relaxed cell (PBE, Alexandria), the XRD peak list of Tl3RhF7 was calculated for Cu Kα, 1.54184 Å.
Intensities are scaled so that the largest is 100.

Main lines, sorted by position (2θ = 10–90°):
2θ (°)  Rel. int.
23.52  62
26.01  100
26.88  46
29.69  84
40.33  35
41.48  17
44.56  25
47.71  21
49.97  18
50.53  16

Atomic structure:
Lattice parameters (Å, degrees): 6.057 6.057 6.989 111.71 111.71 86.95
Fractional coordinates of all 11 atoms:
Tl 0.000 0.000 0.000
Tl 0.266 0.752 0.518
Tl 0.752 0.266 0.518
Rh 0.511 0.511 0.038
F 0.044 0.044 0.366
F 0.194 0.536 0.831
F 0.366 0.366 0.180
F 0.485 0.825 0.250
F 0.536 0.194 0.831
F 0.655 0.655 0.898
F 0.825 0.485 0.250